Entry 1:
Ac4Tl2Bi: calculated powder XRD pattern (CuKα), based on a cell relaxed with GGA-PBE.
Lines closer than 0.1° are merged.

Structure:
abc: 8.8875 8.8875 8.8875
angles: 109.43 109.43 109.55
Fractional positions:
Ac (0.1219, 0.5138, 0.7493)
Ac (0.1225, 0.0145, 0.7507)
Ac (0.2638, 0.3719, 0.2493)
Ac (0.4862, 0.2355, 0.6080)
Ac (0.6275, 0.8781, 0.3920)
Ac (0.6281, 0.8775, 0.8920)
Ac (0.7645, 0.3725, 0.2507)
Ac (0.9855, 0.7362, 0.1080)
Tl (0.0025, 0.1250, 0.3775)
Tl (0.3750, 0.9975, 0.1225)
Tl (0.7475, 0.6250, 0.6225)
Tl (0.8750, 0.2525, 0.8775)
Bi (0.2500, 0.7500, 0.5000)
Bi (0.5000, 0.5000, 0.0000)

Largest 12 diffraction maxima, in order of rising 2θ, 10 to 90 degrees two-theta:
two_theta	d (Å)	I/Imax
27.48	3.245	100.0
32.65	2.743	65.6
39.26	2.295	12.5
41.26	2.188	10.4
43.19	2.095	16.7
45.04	2.013	24.4
55.17	1.665	28.7
56.73	1.623	13.0
58.27	1.583	15.7
67.00	1.397	14.8
80.51	1.193	11.3
88.28	1.107	10.4

***

Entry 2:
Ac12Tl6Bi: calculated powder XRD pattern (CuKα), based on a cell relaxed with GGA-PBE.
Lines closer than 0.1° are merged.

Structure:
abc: 9.9063 9.9063 9.9063
angles: 108.15 108.15 108.15
Fractional positions:
Ac (0.0060, 0.8687, 0.3054)
Ac (0.1223, 0.3590, 0.4602)
Ac (0.1313, 0.6946, 0.9940)
Ac (0.3054, 0.0060, 0.8687)
Ac (0.3590, 0.4602, 0.1223)
Ac (0.4602, 0.1223, 0.3590)
Ac (0.5398, 0.8777, 0.6410)
Ac (0.6410, 0.5398, 0.8777)
Ac (0.6946, 0.9940, 0.1313)
Ac (0.8687, 0.3054, 0.0060)
Ac (0.8777, 0.6410, 0.5398)
Ac (0.9940, 0.1313, 0.6946)
Tl (0.1830, 0.6385, 0.3331)
Tl (0.3331, 0.1830, 0.6385)
Tl (0.3615, 0.6669, 0.8170)
Tl (0.6385, 0.3331, 0.1830)
Tl (0.6669, 0.8170, 0.3615)
Tl (0.8170, 0.3615, 0.6669)
Bi (0.0000, 0.0000, 0.0000)

Largest 12 diffraction maxima, in order of rising 2θ, 10 to 90 degrees two-theta:
two_theta	d (Å)	I/Imax
24.60	3.619	17.2
25.36	3.512	29.9
27.73	3.217	25.9
28.70	3.110	21.1
29.27	3.051	14.1
29.46	3.032	100.0
31.98	2.798	22.5
33.93	2.642	14.7
39.26	2.295	43.9
48.43	1.879	14.0
50.43	1.810	9.4
52.26	1.751	9.9

***

Entry 3:
Ac2TmBi3: calculated powder XRD pattern (CuKα), based on a cell relaxed with GGA-PBE.
Lines closer than 0.1° are merged.

Structure:
abc: 8.2115 8.2115 8.2015
angles: 99.65 99.65 120.02
Fractional positions:
Ac (0.0000, 0.0000, 0.0000)
Ac (0.1619, 0.8381, 0.5000)
Ac (0.5000, 0.5000, 0.5000)
Ac (0.8381, 0.1619, 0.5000)
Tm (0.3313, 0.6687, 0.0000)
Tm (0.6687, 0.3313, 0.0000)
Bi (0.0784, 0.4260, 0.2343)
Bi (0.2724, 0.2724, 0.7717)
Bi (0.4260, 0.0784, 0.2343)
Bi (0.5740, 0.9216, 0.7657)
Bi (0.7276, 0.7276, 0.2283)
Bi (0.9216, 0.5740, 0.7657)

Largest 12 diffraction maxima, in order of rising 2θ, 10 to 90 degrees two-theta:
two_theta	d (Å)	I/Imax
26.61	3.350	100.0
37.99	2.369	78.3
46.96	1.935	21.6
47.05	1.932	6.8
54.81	1.675	13.3
61.90	1.499	18.6
61.95	1.498	12.1
62.04	1.496	5.8
68.57	1.368	15.9
68.70	1.366	10.6
81.19	1.185	6.9
87.26	1.117	10.8

***

Entry 4:
Ac8Ru3CBr4: calculated powder XRD pattern (CuKα), based on a cell relaxed with GGA-PBE.
Lines closer than 0.1° are merged.

Structure:
abc: 8.5223 8.5223 9.5766
angles: 116.37 116.37 60.02
Fractional positions:
Ac (0.2226, 0.2226, 0.6836)
Ac (0.2226, 0.7385, 0.6838)
Ac (0.2615, 0.7774, 0.3162)
Ac (0.2649, 0.2649, 0.2945)
Ac (0.7351, 0.7351, 0.7055)
Ac (0.7385, 0.2226, 0.6838)
Ac (0.7774, 0.2615, 0.3162)
Ac (0.7774, 0.7774, 0.3164)
Ru (0.0000, 0.5000, 0.5000)
Ru (0.5000, 0.0000, 0.5000)
Ru (0.5000, 0.5000, 0.5000)
C (0.0000, 0.0000, 0.5000)
Br (0.0000, 0.0000, 0.0000)
Br (0.0000, 0.5000, 0.0000)
Br (0.5000, 0.0000, 0.0000)
Br (0.5000, 0.5000, 0.0000)

Largest 12 diffraction maxima, in order of rising 2θ, 10 to 90 degrees two-theta:
two_theta	d (Å)	I/Imax
10.76	8.220	26.2
25.19	3.536	29.5
28.18	3.167	100.0
30.24	2.955	20.2
32.68	2.740	12.1
35.22	2.548	21.6
38.03	2.366	23.1
42.42	2.131	40.4
47.45	1.916	14.7
51.69	1.768	12.8
54.56	1.682	17.2
69.03	1.361	15.6

***

Entry 5:
Ac8Si3CBr3: calculated powder XRD pattern (CuKα), based on a cell relaxed with GGA-PBE.
Lines closer than 0.1° are merged.

Structure:
abc: 9.2533 9.2533 9.2533
angles: 57.72 57.72 57.72
Fractional positions:
Ac (0.2391, 0.2391, 0.2391)
Ac (0.2586, 0.7220, 0.7220)
Ac (0.2780, 0.2780, 0.7414)
Ac (0.2780, 0.7414, 0.2780)
Ac (0.7220, 0.2586, 0.7220)
Ac (0.7220, 0.7220, 0.2586)
Ac (0.7414, 0.2780, 0.2780)
Ac (0.7609, 0.7609, 0.7609)
Si (0.0000, 0.0000, 0.5000)
Si (0.0000, 0.5000, 0.0000)
Si (0.5000, 0.0000, 0.0000)
C (0.5000, 0.5000, 0.5000)
Br (0.0000, 0.5000, 0.5000)
Br (0.5000, 0.0000, 0.5000)
Br (0.5000, 0.5000, 0.0000)

Largest 12 diffraction maxima, in order of rising 2θ, 10 to 90 degrees two-theta:
two_theta	d (Å)	I/Imax
23.15	3.841	17.5
24.27	3.667	65.3
27.78	3.212	100.0
30.16	2.963	17.6
35.81	2.507	10.4
38.98	2.311	28.0
40.39	2.233	39.3
47.07	1.931	15.7
49.73	1.834	18.7
54.52	1.683	15.4
57.15	1.612	10.9
65.92	1.417	15.2

***

Entry 6:
AcCd2Br6: calculated powder XRD pattern (CuKα), based on a cell relaxed with GGA-PBE.
Lines closer than 0.1° are merged.

Structure:
abc: 8.3429 8.3429 10.1243
angles: 92.76 92.76 33.45
Fractional positions:
Ac (0.0000, 0.0000, 0.0000)
Cd (0.2026, 0.2026, 0.3619)
Cd (0.7974, 0.7974, 0.6381)
Br (0.0373, 0.0373, 0.2981)
Br (0.2158, 0.2158, 0.6556)
Br (0.3794, 0.3794, 0.0213)
Br (0.6206, 0.6206, 0.9787)
Br (0.7842, 0.7842, 0.3444)
Br (0.9627, 0.9627, 0.7019)

Largest 12 diffraction maxima, in order of rising 2θ, 10 to 90 degrees two-theta:
two_theta	d (Å)	I/Imax
13.79	6.423	100.0
14.48	6.117	34.7
19.30	4.598	53.0
21.28	4.175	22.1
26.23	3.398	64.5
26.44	3.371	70.3
26.80	3.327	21.2
33.72	2.658	65.3
37.46	2.401	33.5
43.17	2.095	32.5
44.27	2.046	35.2
46.44	1.955	29.9

***

Entry 7:
AcIn2Br3Cl3: calculated powder XRD pattern (CuKα), based on a cell relaxed with GGA-PBE.
Lines closer than 0.1° are merged.

Structure:
abc: 8.1842 8.1842 4.4431
angles: 90.00 90.00 120.00
Fractional positions:
Ac (0.0000, 0.0000, 0.0000)
In (0.3333, 0.6667, 0.5000)
In (0.6667, 0.3333, 0.5000)
Br (0.0000, 0.5927, 0.0000)
Br (0.4073, 0.4073, 0.0000)
Br (0.5927, 0.0000, 0.0000)
Cl (0.0000, 0.2450, 0.5000)
Cl (0.2450, 0.0000, 0.5000)
Cl (0.7550, 0.7550, 0.5000)

Largest 12 diffraction maxima, in order of rising 2θ, 10 to 90 degrees two-theta:
two_theta	d (Å)	I/Imax
21.72	4.092	52.7
23.63	3.765	46.8
25.13	3.544	15.8
29.68	3.010	29.6
32.31	2.771	100.0
38.09	2.363	41.7
39.27	2.294	54.9
40.61	2.222	21.2
46.51	1.952	15.0
50.79	1.798	15.5
56.89	1.618	25.5
60.64	1.527	30.2

***

Entry 8:
Ac8Os3Br3Cl: calculated powder XRD pattern (CuKα), based on a cell relaxed with GGA-PBE.
Lines closer than 0.1° are merged.

Structure:
abc: 9.3593 9.3593 9.3593
angles: 57.04 57.04 57.04
Fractional positions:
Ac (0.2057, 0.7505, 0.7505)
Ac (0.2338, 0.2338, 0.2338)
Ac (0.2495, 0.2495, 0.7943)
Ac (0.2495, 0.7943, 0.2495)
Ac (0.7505, 0.2057, 0.7505)
Ac (0.7505, 0.7505, 0.2057)
Ac (0.7662, 0.7662, 0.7662)
Ac (0.7943, 0.2495, 0.2495)
Os (0.0000, 0.0000, 0.5000)
Os (0.0000, 0.5000, 0.0000)
Os (0.5000, 0.0000, 0.0000)
Br (0.0000, 0.5000, 0.5000)
Br (0.5000, 0.0000, 0.5000)
Br (0.5000, 0.5000, 0.0000)
Cl (0.5000, 0.5000, 0.5000)

Largest 12 diffraction maxima, in order of rising 2θ, 10 to 90 degrees two-theta:
two_theta	d (Å)	I/Imax
11.33	7.808	29.5
24.22	3.675	16.1
27.63	3.229	100.0
35.46	2.531	17.2
38.56	2.335	30.9
40.36	2.234	37.7
48.81	1.866	12.1
49.61	1.837	18.6
57.05	1.614	9.0
63.26	1.470	8.8
65.80	1.419	14.3
72.19	1.309	8.4